The following is a calculated powder X-ray diffraction pattern of ErPdF5. It was derived from a DFT-relaxed cell (PBE, Alexandria), using Cu Kα, 1.54184 Å.
Peak positions follow from Bragg's law for the DFT cell and can differ from measured ones.

Most intense lines, 2θ = 10–90°, low angle first:
- (1 0 0), d 4.013, rel. 1000
- (0 1 -1), d 3.948, rel. 865
- (0 1 1), d 3.599, rel. 666
- (-1 1 1), d 3.340, rel. 442
- (1 -1 1), d 3.030, rel. 244
- (0 0 2), d 2.844, rel. 252
- (1 1 -1), d 2.639, rel. 245
- (1 -2 0), d 2.550, rel. 228

Crystal structure
```
ErPdF5
1.0
4.3205 0.0000 0.0000
-1.7420 5.0357 0.0000
-0.9467 -0.5324 5.6877
Er Pd F
1 1 5
Cartesian
0.0000 0.0000 0.0000
-1.3443 2.2516 2.8439
-0.9309 1.3132 4.5596
-0.0193 1.0967 1.8784
2.1602 0.0000 0.0000
1.6511 3.4066 3.8093
2.5627 3.1901 1.1281
```